1.
Structure and simulated powder diffractogram of Rb3Sn2Hg9 (a structure optimized by DFT (GGA-PBE); Cu Kα (λ = 1.5418 Å)).
No peak broadening, texture or thermal motion is included.

Most intense lines, 2θ = 10–90°, low angle first:
2theta, Rel. int.
28.61, 57
28.85, 47
29.11, 55
30.97, 59
31.63, 100
33.00, 57
33.82, 44
38.54, 97
43.17, 38
46.99, 36

Structure:
```
14
Lattice="-2.8285 5.0373 7.9504 2.8285 -5.0373 7.9504 2.8285 5.0373 -7.9504" Properties=species:S:1:pos:R:3 pbc="T T T"
Rb 0.0000 0.0000 0.0000
Rb 0.0000 0.0000 4.4199
Rb 0.0000 0.0000 11.4808
Sn 2.8285 3.5028 0.0000
Sn 0.0000 1.5345 7.9504
Hg 0.0000 6.5791 5.5141
Hg 2.8285 -1.5418 2.4362
Hg 2.8285 -2.0172 5.6353
Hg 2.8285 1.5418 2.4362
Hg 0.0000 3.0201 2.3151
Hg 0.0000 5.0373 0.0000
Hg 2.8285 2.0172 5.6353
Hg 0.0000 3.4955 5.5141
Hg 0.0000 7.0545 2.3151
```

***

2.
Structure and simulated powder diffractogram of Rb2Sn2Hg (a structure optimized by DFT (GGA-PBE); Cu Kα (λ = 1.5418 Å)).
No peak broadening, texture or thermal motion is included.

Most intense lines, 2θ = 10–90°, low angle first:
2theta, Rel. int.
14.93, 80
17.36, 68
24.34, 48
26.37, 100
29.36, 76
29.67, 93
31.55, 96
37.19, 80
37.50, 41
52.40, 36

Structure:
```
10
Lattice="5.3334 -3.5705 0.0000 5.3334 3.5705 0.0000 -0.4578 0.0000 10.4759" Properties=species:S:1:pos:R:3 pbc="T T T"
Rb 1.6103 0.9867 1.7832
Rb 1.3814 -0.9867 7.0211
Rb 8.8275 0.9867 3.4548
Rb 8.5985 -0.9867 8.6927
Sn 3.8360 0.9917 5.0998
Sn 6.6018 0.9917 0.1381
Sn 3.6071 -0.9917 10.3377
Sn 6.3729 -0.9917 5.3761
Hg 5.2189 1.0869 2.6190
Hg 4.9900 -1.0869 7.8569
```

***

3.
Structure and simulated powder diffractogram of RbTlSn2Hg (a structure optimized by DFT (GGA-PBE); Cu Kα (λ = 1.5418 Å)).
No peak broadening, texture or thermal motion is included.

Most intense lines, 2θ = 10–90°, low angle first:
2theta, Rel. int.
13.93, 26
17.92, 25
19.31, 16
27.76, 26
28.29, 100
33.36, 41
36.44, 33
37.60, 67
39.20, 23
50.23, 27

Structure:
```
10
Lattice="4.9312 0.0000 0.0000 0.0000 5.3723 0.0000 0.0000 0.0000 12.7137" Properties=species:S:1:pos:R:3 pbc="T T T"
Rb 0.0000 0.0000 0.0000
Rb 2.4656 2.6862 6.3568
Tl 0.0000 2.6862 9.5470
Tl 2.4656 0.0000 3.1902
Sn 0.0000 0.0000 7.9084
Sn 0.0000 2.6862 3.3205
Sn 2.4656 0.0000 9.6774
Sn 2.4656 2.6862 1.5515
Hg 0.0000 0.0000 4.9937
Hg 2.4656 2.6862 11.3506
```

***

4.
Structure and simulated powder diffractogram of RbSrHg4 (a structure optimized by DFT (GGA-PBE); Cu Kα (λ = 1.5418 Å)).
No peak broadening, texture or thermal motion is included.

Most intense lines, 2θ = 10–90°, low angle first:
2theta, Rel. int.
21.08, 61
28.84, 47
28.96, 100
34.14, 91
34.45, 45
40.47, 48
40.74, 24
42.91, 25
45.52, 28
55.94, 45

Structure:
```
6
Lattice="4.2153 0.0000 0.0000 0.0000 5.2067 0.0000 0.0000 0.0000 9.1249" Properties=species:S:1:pos:R:3 pbc="T T T"
Rb 0.0000 0.0000 0.0000
Sr 0.0000 2.6033 4.5625
Hg 2.1077 0.0000 3.0953
Hg 2.1077 0.0000 6.0296
Hg 2.1077 2.6033 1.5499
Hg 2.1077 2.6033 7.5751
```

***

5.
Structure and simulated powder diffractogram of Rb2HgTe (a structure optimized by DFT (GGA-PBE); Cu Kα (λ = 1.5418 Å)).
No peak broadening, texture or thermal motion is included.

Most intense lines, 2θ = 10–90°, low angle first:
2theta, Rel. int.
18.22, 56
19.36, 69
23.41, 38
26.05, 67
31.12, 100
32.12, 43
35.44, 40
41.02, 20
52.37, 19
55.38, 19

Structure:
```
12
Lattice="5.7470 0.0000 0.0000 -2.8735 4.9771 0.0000 0.0000 0.0000 23.5428" Properties=species:S:1:pos:R:3 pbc="T T T"
Rb 0.0000 0.0000 0.0000
Rb 0.0000 0.0000 4.9453
Rb 0.0000 3.3180 15.6952
Rb 0.0000 3.3180 20.6406
Rb 2.8735 1.6590 7.8476
Rb 2.8735 1.6590 12.7929
Hg 0.0000 0.0000 17.7052
Hg 0.0000 3.3180 9.8576
Hg 2.8735 1.6590 2.0100
Te 0.0000 0.0000 14.4068
Te 0.0000 3.3180 6.5592
Te 2.8735 1.6590 22.2544
```

***

6.
Structure and simulated powder diffractogram of Rb2Hg3Te4 (a structure optimized by DFT (GGA-PBE); Cu Kα (λ = 1.5418 Å)).
No peak broadening, texture or thermal motion is included.

Most intense lines, 2θ = 10–90°, low angle first:
2theta, Rel. int.
11.85, 76
24.32, 41
25.03, 16
25.80, 36
27.13, 30
30.28, 100
34.31, 17
38.89, 41
42.70, 15
49.46, 20

Structure:
```
36
Lattice="12.6650 0.0000 0.0000 0.0000 7.3422 0.0000 0.0000 0.0000 14.9340" Properties=species:S:1:pos:R:3 pbc="T T T"
Rb 1.6816 1.2565 0.5509
Rb 1.6816 6.0857 8.0180
Rb 4.6508 2.4146 8.0180
Rb 4.6508 4.9277 0.5509
Rb 8.0141 2.4146 14.3831
Rb 8.0141 4.9277 6.9161
Rb 10.9833 1.2565 6.9161
Rb 10.9833 6.0857 14.3831
Hg 0.0000 3.0379 3.7335
Hg 0.0000 4.3044 11.2005
Hg 2.0764 1.0621 11.2384
Hg 2.0764 6.2801 3.7714
Hg 4.2561 2.6090 3.7714
Hg 4.2561 4.7332 11.2384
Hg 6.3325 0.6333 11.2005
Hg 6.3325 6.7090 3.7335
Hg 8.4089 2.6090 3.6957
Hg 8.4089 4.7332 11.1627
Hg 10.5886 1.0621 11.1627
Hg 10.5886 6.2801 3.6957
Te 1.0832 2.5457 9.1488
Te 1.0832 4.7965 1.6818
Te 1.9218 1.3392 5.1315
Te 1.9218 6.0030 12.5985
Te 4.4106 2.3319 12.5985
Te 4.4106 5.0104 5.1315
Te 5.2493 1.1254 1.6818
Te 5.2493 6.2168 9.1488
Te 7.4157 1.1254 5.7853
Te 7.4157 6.2168 13.2523
Te 8.2543 2.3319 9.8026
Te 8.2543 5.0104 2.3356
Te 10.7431 1.3392 2.3356
Te 10.7431 6.0030 9.8026
Te 11.5818 2.5457 13.2523
Te 11.5818 4.7965 5.7853
```

***

7.
Structure and simulated powder diffractogram of Rb2HgTe2 (a structure optimized by DFT (GGA-PBE); Cu Kα (λ = 1.5418 Å)).
No peak broadening, texture or thermal motion is included.

Most intense lines, 2θ = 10–90°, low angle first:
2theta, Rel. int.
12.17, 39
17.82, 81
24.20, 100
26.14, 50
26.36, 63
32.28, 28
34.05, 51
36.08, 55
37.68, 28
45.29, 33

Structure:
```
10
Lattice="7.5123 -3.6780 0.0000 7.5123 3.6780 0.0000 -2.2478 0.0000 8.7066" Properties=species:S:1:pos:R:3 pbc="T T T"
Rb 3.6455 1.8723 7.1913
Rb 8.0074 1.8723 5.8686
Rb 4.7694 -1.8723 2.8380
Rb 9.1313 -1.8723 1.5153
Hg 6.9503 1.7915 2.1767
Hg 5.8264 -1.7915 6.5300
Te 4.7140 1.8083 3.6089
Te 9.1866 1.8083 0.7444
Te 3.5901 -1.8083 7.9622
Te 8.0627 -1.8083 5.0977
```

***

8.
Structure and simulated powder diffractogram of RbHgTe2 (a structure optimized by DFT (GGA-PBE); Cu Kα (λ = 1.5418 Å)).
No peak broadening, texture or thermal motion is included.

Most intense lines, 2θ = 10–90°, low angle first:
2theta, Rel. int.
11.85, 56
13.99, 28
23.84, 32
24.96, 41
25.40, 100
31.21, 36
32.52, 83
38.03, 31
39.72, 50
42.89, 29

Structure:
```
16
Lattice="7.4136 0.0000 0.0000 0.0000 7.4657 0.0000 -3.3275 0.0000 11.9276" Properties=species:S:1:pos:R:3 pbc="T T T"
Rb 0.8488 1.7657 1.4726
Rb -0.8150 5.7000 7.4364
Rb 4.9011 1.7657 4.4912
Rb 3.2374 5.7000 10.4550
Hg -0.0892 3.0585 10.3239
Hg 1.5745 4.4072 4.3601
Hg 2.5117 3.0585 7.5675
Hg 4.1754 4.4072 1.6037
Te -1.3399 1.9077 8.0952
Te 0.3238 5.5580 2.1314
Te 1.2707 1.7586 5.3430
Te -0.3930 5.7071 11.3068
Te 4.4792 1.7586 0.6208
Te 2.8155 5.7071 6.5846
Te 3.7624 1.9077 9.7962
Te 5.4261 5.5580 3.8324
```